For Zr3AlN4, a structure optimized by DFT (GGA-PBE) gives the theoretical powder diffractogram in this record (λ = 1.5418 Å (Cu Kα)).

Most intense lines, 2θ from 10° to 90°, in order of rising 2θ:
(1 0 2), 34.3 deg, rel. 100
(1 1 0), 39.6 deg, rel. 67
(0 0 4), 40.2 deg, rel. 31
(2 0 0), 57.3 deg, rel. 21
(1 1 4), 57.7 deg, rel. 40
(2 1 2), 68.5 deg, rel. 28

Structure:
```
data_Zr3AlN4
_chemical_formula_sum 'Zr3 Al1 N4'
_cell_length_a 3.215
_cell_length_b 3.215
_cell_length_c 8.976
_cell_angle_alpha 90.00
_cell_angle_beta 90.00
_cell_angle_gamma 90.00
_symmetry_space_group_name_H-M 'P 4/m m m'
_symmetry_Int_Tables_number 123
_symmetry_space_group_name_Hall '-P 4 2'
loop_
_atom_site_label
_atom_site_type_symbol
_atom_site_fract_x
_atom_site_fract_y
_atom_site_fract_z
Zr1 Zr 0.000 0.000 0.000
Zr2 Zr 0.500 0.500 0.251
Al1 Al 0.000 0.000 0.500
N1 N 0.000 0.000 0.275
N2 N 0.500 0.500 0.000
N3 N 0.500 0.500 0.500
```



For ZrAlN2, a structure optimized by DFT (GGA-PBE) gives the theoretical powder diffractogram in this record (λ = 1.5418 Å (Cu Kα)).

Most intense lines, 2θ from 10° to 90°, in order of rising 2θ:
(0 0 1), 19.8 deg, rel. 53
(1 0 0), 28.5 deg, rel. 44
(1 0 1), 34.9 deg, rel. 100
(0 0 2), 40.2 deg, rel. 41
(1 1 0), 40.7 deg, rel. 80
(1 1 2), 58.5 deg, rel. 50

Structure:
```
data_ZrAlN2
_chemical_formula_sum 'Zr1 Al1 N2'
_cell_length_a 3.137
_cell_length_b 3.137
_cell_length_c 4.482
_cell_angle_alpha 90.00
_cell_angle_beta 90.00
_cell_angle_gamma 90.00
_symmetry_space_group_name_H-M 'P 4/m m m'
_symmetry_Int_Tables_number 123
_symmetry_space_group_name_Hall '-P 4 2'
loop_
_atom_site_label
_atom_site_type_symbol
_atom_site_fract_x
_atom_site_fract_y
_atom_site_fract_z
Zr1 Zr 0.000 0.000 0.000
Al1 Al 0.500 0.500 0.500
N1 N 0.000 0.000 0.500
N2 N 0.500 0.500 0.000
```



For Na3Al, a structure optimized by DFT (GGA-PBE) gives the theoretical powder diffractogram in this record (λ = 1.5418 Å (Cu Kα)).

Most intense lines, 2θ from 10° to 90°, in order of rising 2θ:
(2 2 0), 33.1 deg, rel. 100
(4 0 0), 47.4 deg, rel. 17
(4 2 2), 59.0 deg, rel. 34
(4 4 0), 69.3 deg, rel. 10
(6 2 0), 79.0 deg, rel. 13
(4 4 4), 88.3 deg, rel. 3

Structure:
```
data_Na3Al
_chemical_formula_sum 'Na12 Al4'
_cell_length_a 7.666
_cell_length_b 7.666
_cell_length_c 7.666
_cell_angle_alpha 90.00
_cell_angle_beta 90.00
_cell_angle_gamma 90.00
_symmetry_space_group_name_H-M 'F m -3 m'
_symmetry_Int_Tables_number 225
_symmetry_space_group_name_Hall '-F 4 2 3'
loop_
_atom_site_label
_atom_site_type_symbol
_atom_site_fract_x
_atom_site_fract_y
_atom_site_fract_z
Na1 Na 0.000 0.000 0.000
Na2 Na 0.250 0.250 0.250
Al1 Al 0.000 0.000 0.500
```



What did the second record say?
For ZrAlN2, a structure optimized by DFT (GGA-PBE) gives the theoretical powder diffractogram in this record (λ = 1.5418 Å (Cu Kα)).

Most intense lines, 2θ from 10° to 90°, in order of rising 2θ:
(0 0 1), 19.8 deg, rel. 53
(1 0 0), 28.5 deg, rel. 44
(1 0 1), 34.9 deg, rel. 100
(0 0 2), 40.2 deg, rel. 41
(1 1 0), 40.7 deg, rel. 80
(1 1 2), 58.5 deg, rel. 50

Structure:
```
data_ZrAlN2
_chemical_formula_sum 'Zr1 Al1 N2'
_cell_length_a 3.137
_cell_length_b 3.137
_cell_length_c 4.482
_cell_angle_alpha 90.00
_cell_angle_beta 90.00
_cell_angle_gamma 90.00
_symmetry_space_group_name_H-M 'P 4/m m m'
_symmetry_Int_Tables_number 123
_symmetry_space_group_name_Hall '-P 4 2'
loop_
_atom_site_label
_atom_site_type_symbol
_atom_site_fract_x
_atom_site_fract_y
_atom_site_fract_z
Zr1 Zr 0.000 0.000 0.000
Al1 Al 0.500 0.500 0.500
N1 N 0.000 0.000 0.500
N2 N 0.500 0.500 0.000
```